(1)
This entry pairs a crystal structure of CaIn2Pd with its simulated powder XRD pattern. Radiation: λ = 1.5418 Å (Cu Kα). Structure: a crystal structure in the Materials Project, relaxed with PBE.
Lines closer than 0.1° are merged.

```
data_CaIn2Pd
_cell_length_a 4.511
_cell_length_b 10.484
_cell_length_c 7.924
_cell_angle_alpha 90.00
_cell_angle_beta 90.00
_cell_angle_gamma 90.00
_space_group_name_H-M_alt 'C m c m'
_space_group_IT_number 63
_space_group_name_Hall '-C 2c 2'
loop_
_atom_site_label
_atom_site_type_symbol
_atom_site_fract_x
_atom_site_fract_y
_atom_site_fract_z
Ca1 Ca 0.000 0.065 0.250
In1 In 0.000 0.355 0.053
Pd1 Pd 0.000 0.218 0.750
```

Main lines, low angle first (2θ = 10–90°):
hkl 0 2 0, 5.242 Å, 2θ = 16.91°, rel. 60; hkl 0 2 1, 4.372 Å, 2θ = 20.31°, rel. 35; hkl 1 1 2, 2.864 Å, 2θ = 31.23°, rel. 100; hkl 1 3 0, 2.763 Å, 2θ = 32.41°, rel. 42; hkl 1 3 1, 2.609 Å, 2θ = 34.38°, rel. 66; hkl 0 2 3, 2.359 Å, 2θ = 38.15°, rel. 31; hkl 1 3 2, 2.266 Å, 2θ = 39.78°, rel. 79; hkl 2 0 0, 2.256 Å, 2θ = 39.97°, rel. 62; hkl 1 1 3, 2.227 Å, 2θ = 40.50°, rel. 97; hkl 0 4 2, 2.186 Å, 2θ = 41.30°, rel. 42


(2)
This entry pairs a crystal structure of Ca3Lu with its simulated powder XRD pattern. Radiation: λ = 1.5418 Å (Cu Kα). Structure: a crystal structure in the Materials Project, relaxed with PBE.
Lines closer than 0.1° are merged.

```
data_Ca3Lu
_cell_length_a 7.5067
_cell_length_b 7.5067
_cell_length_c 6.2142
_cell_angle_alpha 90.00
_cell_angle_beta 90.00
_cell_angle_gamma 120.00
_space_group_name_H-M_alt 'P 63/m m c'
_space_group_IT_number 194
_space_group_name_Hall '-P 6c 2c'
loop_
_atom_site_label
_atom_site_type_symbol
_atom_site_fract_x
_atom_site_fract_y
_atom_site_fract_z
Ca1 Ca 0.1704 0.3408 0.2500
Lu1 Lu 0.3333 0.6667 0.7500
```

Main lines, low angle first (2θ = 10–90°):
hkl 1 0 0, 6.501 Å, 2θ = 13.62°, rel. 23; hkl 1 0 1, 4.492 Å, 2θ = 19.76°, rel. 53; hkl 1 1 0, 3.753 Å, 2θ = 23.71°, rel. 24; hkl 2 0 0, 3.251 Å, 2θ = 27.44°, rel. 23; hkl 0 0 2, 3.107 Å, 2θ = 28.73°, rel. 27; hkl 2 0 1, 2.880 Å, 2θ = 31.05°, rel. 100; hkl 2 1 1, 2.285 Å, 2θ = 39.43°, rel. 21; hkl 2 2 0, 1.877 Å, 2θ = 48.51°, rel. 18; hkl 2 0 3, 1.747 Å, 2θ = 52.38°, rel. 22; hkl 2 2 2, 1.606 Å, 2θ = 57.36°, rel. 22


(3)
This entry pairs a crystal structure of Mn2As with its simulated powder XRD pattern. Radiation: λ = 1.5418 Å (Cu Kα). Structure: a crystal structure in the Materials Project, relaxed with PBE.
Lines closer than 0.1° are merged.

```
data_Mn2As
_cell_length_a 3.615
_cell_length_b 3.615
_cell_length_c 6.335
_cell_angle_alpha 90.00
_cell_angle_beta 90.00
_cell_angle_gamma 90.00
_space_group_name_H-M_alt 'P 4/n m m'
_space_group_IT_number 129
loop_
_space_group_symop_operation_xyz
'x,y,z'
'-x,-y,-z'
'-y+1/2,x,z'
'y+1/2,-x,-z'
'-x+1/2,-y+1/2,z'
'x+1/2,y+1/2,-z'
'y,-x+1/2,z'
'-y,x+1/2,-z'
'x+1/2,-y,-z'
'-x+1/2,y,z'
'-y,-x,-z'
'y,x,z'
'-x,y+1/2,-z'
'x,-y+1/2,z'
'y+1/2,x+1/2,-z'
'-y+1/2,-x+1/2,z'
loop_
_atom_site_label
_atom_site_type_symbol
_atom_site_fract_x
_atom_site_fract_y
_atom_site_fract_z
Mn1 Mn 0.250 0.250 0.147
Mn2 Mn 0.250 0.750 0.500
As1 As 0.250 0.250 0.762
```

Main lines, low angle first (2θ = 10–90°):
hkl 1 0 1, 3.140 Å, 2θ = 28.43°, rel. 18; hkl 1 1 0, 2.556 Å, 2θ = 35.11°, rel. 29; hkl 1 1 1, 2.370 Å, 2θ = 37.96°, rel. 71; hkl 0 0 3, 2.112 Å, 2θ = 42.83°, rel. 21; hkl 1 1 2, 1.989 Å, 2θ = 45.60°, rel. 100; hkl 1 0 3, 1.823 Å, 2θ = 50.02°, rel. 32; hkl 2 0 0, 1.808 Å, 2θ = 50.49°, rel. 59; hkl 2 0 3, 1.373 Å, 2θ = 68.31°, rel. 19; hkl 2 1 3, 1.284 Å, 2θ = 73.82°, rel. 19; hkl 2 2 0, 1.278 Å, 2θ = 74.20°, rel. 18


(4)
This entry pairs a crystal structure of MgUO3 with its simulated powder XRD pattern. Radiation: λ = 1.5418 Å (Cu Kα). Structure: a crystal structure in the Materials Project, relaxed with PBE.
Lines closer than 0.1° are merged.

```
data_MgUO3
_cell_length_a 3.813
_cell_length_b 3.813
_cell_length_c 3.813
_cell_angle_alpha 90.00
_cell_angle_beta 90.00
_cell_angle_gamma 90.00
_space_group_name_H-M_alt 'P m -3 m'
_space_group_IT_number 221
_space_group_name_Hall '-P 4 2 3'
loop_
_atom_site_label
_atom_site_type_symbol
_atom_site_fract_x
_atom_site_fract_y
_atom_site_fract_z
Mg1 Mg 0.000 0.000 0.000
U1 U 0.500 0.500 0.500
O1 O 0.000 0.000 0.500
```

Main lines, low angle first (2θ = 10–90°):
hkl 1 0 0, 3.813 Å, 2θ = 23.33°, rel. 71; hkl 1 1 0, 2.696 Å, 2θ = 33.23°, rel. 100; hkl 1 1 1, 2.201 Å, 2θ = 41.00°, rel. 42; hkl 2 0 0, 1.906 Å, 2θ = 47.70°, rel. 29; hkl 2 1 0, 1.705 Å, 2θ = 53.76°, rel. 34; hkl 2 1 1, 1.557 Å, 2θ = 59.37°, rel. 41; hkl 2 2 0, 1.348 Å, 2θ = 69.76°, rel. 19; hkl 3 0 0, 1.271 Å, 2θ = 74.68°, rel. 18; hkl 3 1 0, 1.206 Å, 2θ = 79.49°, rel. 19; hkl 3 1 1, 1.150 Å, 2θ = 84.22°, rel. 16


(5)
This entry pairs a crystal structure of Ca5Ta4O15 with its simulated powder XRD pattern. Radiation: λ = 1.5418 Å (Cu Kα). Structure: a crystal structure in the Materials Project, relaxed with PBE.
Lines closer than 0.1° are merged.

```
data_Ca5Ta4O15
_cell_length_a 5.5372
_cell_length_b 5.5372
_cell_length_c 23.4555
_cell_angle_alpha 90.00
_cell_angle_beta 90.00
_cell_angle_gamma 120.00
_space_group_name_H-M_alt 'P -3 c 1'
_space_group_IT_number 165
_space_group_name_Hall '-P 3 2"c'
loop_
_atom_site_label
_atom_site_type_symbol
_atom_site_fract_x
_atom_site_fract_y
_atom_site_fract_z
Ca1 Ca 0.0000 0.0000 0.0000
Ca2 Ca 0.3333 0.6667 0.2310
Ca3 Ca 0.3333 0.6667 0.3813
Ta1 Ta 0.0000 0.0000 0.1565
Ta2 Ta 0.3333 0.6667 0.0522
O1 O 0.0000 0.5000 0.0000
O2 O 0.0780 0.3380 0.3066
O3 O 0.0999 0.3234 0.5960
```

Main lines, low angle first (2θ = 10–90°):
hkl 1 0 2, 4.439 Å, 2θ = 20.00°, rel. 48; hkl 1 0 4, 3.712 Å, 2θ = 23.97°, rel. 77; hkl 0 1 6, 3.030 Å, 2θ = 29.48°, rel. 100; hkl 1 1 0, 2.769 Å, 2θ = 32.34°, rel. 77; hkl 2 0 6, 2.044 Å, 2θ = 44.32°, rel. 49; hkl 1 0 12, 1.810 Å, 2θ = 50.41°, rel. 21; hkl 1 1 10, 1.790 Å, 2θ = 51.02°, rel. 42; hkl 2 1 4, 1.732 Å, 2θ = 52.87°, rel. 17; hkl 1 2 6, 1.644 Å, 2θ = 55.92°, rel. 35; hkl 3 0 0, 1.598 Å, 2θ = 57.67°, rel. 19


(6)
This entry pairs a crystal structure of Mg9Sn5 with its simulated powder XRD pattern. Radiation: λ = 1.5418 Å (Cu Kα). Structure: a crystal structure in the Materials Project, relaxed with PBE.
Lines closer than 0.1° are merged.

```
data_Mg9Sn5
_cell_length_a 13.2988
_cell_length_b 13.2988
_cell_length_c 13.4030
_cell_angle_alpha 90.00
_cell_angle_beta 90.00
_cell_angle_gamma 120.00
_space_group_name_H-M_alt 'R 3'
_space_group_IT_number 146
_space_group_name_Hall 'R 3'
loop_
_atom_site_label
_atom_site_type_symbol
_atom_site_fract_x
_atom_site_fract_y
_atom_site_fract_z
Mg1 Mg 0.0742 0.2351 0.0000
Mg2 Mg 0.0781 0.2266 0.6727
Mg3 Mg 0.0780 0.2427 0.3344
Mg4 Mg 0.1669 0.7417 0.5054
Mg5 Mg 0.1762 0.7449 0.1675
Mg6 Mg 0.1838 0.7423 0.8377
Sn1 Sn 0.0000 0.0000 0.0642
Sn2 Sn 0.0000 0.0000 0.3035
Sn3 Sn 0.0000 0.0000 0.5663
Sn4 Sn 0.0000 0.0000 0.8035
Sn5 Sn 0.0038 0.3345 0.5021
Sn6 Sn 0.0038 0.6688 0.0034
```

Main lines, low angle first (2θ = 10–90°):
hkl 3 0 0, 3.839 Å, 2θ = 23.17°, rel. 100; hkl 1 1 3, 3.708 Å, 2θ = 24.00°, rel. 44; hkl 1 0 4, 3.217 Å, 2θ = 27.73°, rel. 14; hkl 4 -2 3, 2.667 Å, 2θ = 33.60°, rel. 48; hkl 2 1 4, 2.655 Å, 2θ = 33.76°, rel. 17; hkl 3 3 0, 2.216 Å, 2θ = 40.71°, rel. 45; hkl 4 1 3, 2.190 Å, 2θ = 41.21°, rel. 44; hkl 6 0 0, 1.920 Å, 2θ = 47.36°, rel. 17; hkl 6 3 0, 1.451 Å, 2θ = 64.19°, rel. 19; hkl 1 7 3, 1.443 Å, 2θ = 64.57°, rel. 18


(7)
This entry pairs a crystal structure of TaP2O8 with its simulated powder XRD pattern. Radiation: λ = 1.5418 Å (Cu Kα). Structure: a crystal structure in the Materials Project, relaxed with PBE.
Lines closer than 0.1° are merged.

```
data_TaP2O8
_cell_length_a 15.958
_cell_length_b 5.297
_cell_length_c 8.046
_cell_angle_alpha 90.00
_cell_angle_beta 90.00
_cell_angle_gamma 90.00
_space_group_name_H-M_alt 'P n m a'
_space_group_IT_number 62
loop_
_space_group_symop_operation_xyz
'x,y,z'
'-x,-y,-z'
'-x+1/2,-y,z+1/2'
'x+1/2,y,-z+1/2'
'x+1/2,-y+1/2,-z+1/2'
'-x+1/2,y+1/2,z+1/2'
'-x,y+1/2,-z'
'x,-y+1/2,z'
loop_
_atom_site_label
_atom_site_type_symbol
_atom_site_fract_x
_atom_site_fract_y
_atom_site_fract_z
Ta1 Ta 0.142 0.250 0.026
P1 P 0.043 0.750 0.216
P2 P 0.172 0.750 0.757
O1 O 0.010 0.750 0.393
O2 O 0.032 0.250 0.907
O3 O 0.090 0.750 0.667
O4 O 0.098 0.516 0.175
O5 O 0.182 0.514 0.872
O6 O 0.249 0.250 0.142
```

Main lines, low angle first (2θ = 10–90°):
hkl 1 0 1, 7.185 Å, 2θ = 12.32°, rel. 100; hkl 3 0 1, 4.437 Å, 2θ = 20.01°, rel. 64; hkl 2 1 0, 4.413 Å, 2θ = 20.12°, rel. 22; hkl 1 1 1, 4.264 Å, 2θ = 20.83°, rel. 76; hkl 4 0 0, 3.990 Å, 2θ = 22.28°, rel. 17; hkl 2 1 1, 3.869 Å, 2θ = 22.99°, rel. 18; hkl 3 1 1, 3.402 Å, 2θ = 26.20°, rel. 13; hkl 2 1 2, 2.973 Å, 2θ = 30.06°, rel. 65; hkl 0 2 0, 2.648 Å, 2θ = 33.85°, rel. 16; hkl 5 1 1, 2.588 Å, 2θ = 34.66°, rel. 20